[1]
# MnBeSbN
Theoretical PXRD pattern, Cu Kα (λ = 1.5418 Å). Input: a structure optimized by DFT (GGA-PBE).

Largest 12 diffraction maxima, low angle first, 5 to 70 degrees two-theta:
| 2θ/deg | I (rel.) |
| --- | --- |
| 14.5 | 95 |
| 29.2 | 38 |
| 29.6 | 20 |
| 29.9 | 21 |
| 32.8 | 100 |
| 36.0 | 49 |
| 36.8 | 47 |
| 41.8 | 42 |
| 42.1 | 45 |
| 42.3 | 42 |
| 44.3 | 22 |
| 69.4 | 20 |

```
data_MnBeSbN
_chemical_formula_sum 'Mn1 Be1 Sb1 N1'
_cell_length_a 3.099
_cell_length_b 3.054
_cell_length_c 6.289
_cell_angle_alpha 90.00
_cell_angle_beta 103.02
_cell_angle_gamma 90.00
_space_group_name_H-M_alt 'P 1 m 1'
_space_group_IT_number 6
_space_group_name_Hall 'P -2y'
loop_
_atom_site_label
_atom_site_type_symbol
_atom_site_fract_x
_atom_site_fract_y
_atom_site_fract_z
_atom_site_occupancy
Mn1 Mn 0.000 0.000 0.000 1
Be1 Be 0.380 0.500 0.720 1
Sb1 Sb 0.654 0.500 0.327 1
N1 N 0.408 0.000 0.802 1
```

[2]
# Tb6Mg2Al
Theoretical PXRD pattern, Cu Kα (λ = 1.5418 Å). Input: a structure optimized by DFT (GGA-PBE).

Largest 12 diffraction maxima, low angle first, 5 to 70 degrees two-theta:
| 2θ/deg | I (rel.) |
| --- | --- |
| 24.2 | 21 |
| 25.0 | 33 |
| 27.7 | 25 |
| 29.1 | 29 |
| 30.6 | 100 |
| 32.6 | 58 |
| 33.3 | 24 |
| 33.8 | 42 |
| 33.9 | 50 |
| 41.4 | 25 |
| 54.5 | 22 |
| 57.6 | 17 |

```
data_Tb6Mg2Al
_chemical_formula_sum 'Tb24 Mg8 Al4'
_cell_length_a 9.643
_cell_length_b 10.234
_cell_length_c 10.582
_cell_angle_alpha 90.00
_cell_angle_beta 90.00
_cell_angle_gamma 90.00
_space_group_name_H-M_alt 'I m m m'
_space_group_IT_number 71
_space_group_name_Hall '-I 2 2'
loop_
_atom_site_label
_atom_site_type_symbol
_atom_site_fract_x
_atom_site_fract_y
_atom_site_fract_z
_atom_site_occupancy
Tb1 Tb 0.000 0.178 0.245 1
Tb2 Tb 0.174 0.500 0.253 1
Tb3 Tb 0.238 0.308 0.000 1
Mg1 Mg 0.000 0.365 0.500 1
Mg2 Mg 0.143 0.000 0.000 1
Al1 Al 0.000 0.000 0.500 1
Al2 Al 0.000 0.500 0.000 1
```

[3]
# PmBr2O6
Theoretical PXRD pattern, Cu Kα (λ = 1.5418 Å). Input: a structure optimized by DFT (GGA-PBE).

Largest 12 diffraction maxima, low angle first, 5 to 70 degrees two-theta:
| 2θ/deg | I (rel.) |
| --- | --- |
| 16.0 | 100 |
| 25.0 | 23 |
| 27.3 | 19 |
| 27.8 | 26 |
| 29.0 | 35 |
| 30.7 | 46 |
| 31.3 | 19 |
| 32.4 | 91 |
| 40.7 | 19 |
| 45.8 | 19 |
| 51.4 | 19 |
| 53.6 | 19 |

```
data_PmBr2O6
_chemical_formula_sum 'Pm4 Br8 O24'
_cell_length_a 11.502
_cell_length_b 7.700
_cell_length_c 7.954
_cell_angle_alpha 90.00
_cell_angle_beta 129.25
_cell_angle_gamma 90.00
_space_group_name_H-M_alt 'C 1 2/c 1'
_space_group_IT_number 15
_space_group_name_Hall '-C 2yc'
loop_
_atom_site_label
_atom_site_type_symbol
_atom_site_fract_x
_atom_site_fract_y
_atom_site_fract_z
_atom_site_occupancy
Pm1 Pm 0.000 0.169 0.250 1
Br1 Br 0.189 0.489 0.715 1
O1 O 0.081 0.332 0.069 1
O2 O 0.124 0.049 0.636 1
O3 O 0.192 0.402 0.494 1
```

[4]
# Ba6Na2Au3
Theoretical PXRD pattern, Cu Kα (λ = 1.5418 Å). Input: a structure optimized by DFT (GGA-PBE).

Largest 12 diffraction maxima, low angle first, 5 to 70 degrees two-theta:
| 2θ/deg | I (rel.) |
| --- | --- |
| 9.4 | 100 |
| 21.5 | 13 |
| 24.8 | 86 |
| 30.8 | 39 |
| 33.2 | 17 |
| 33.3 | 8 |
| 37.3 | 35 |
| 38.5 | 15 |
| 41.2 | 15 |
| 45.2 | 11 |
| 60.1 | 10 |
| 62.5 | 8 |

```
data_Ba6Na2Au3
_chemical_formula_sum 'Ba12 Na4 Au6'
_cell_length_a 8.337
_cell_length_b 14.482
_cell_length_c 9.839
_cell_angle_alpha 90.00
_cell_angle_beta 106.62
_cell_angle_gamma 90.00
_space_group_name_H-M_alt 'C 1 2/m 1'
_space_group_IT_number 12
_space_group_name_Hall '-C 2y'
loop_
_atom_site_label
_atom_site_type_symbol
_atom_site_fract_x
_atom_site_fract_y
_atom_site_fract_z
_atom_site_occupancy
Ba1 Ba 0.230 0.000 0.187 1
Ba2 Ba 0.230 0.333 0.188 1
Na1 Na 0.000 0.333 0.500 1
Au1 Au 0.000 0.167 0.000 1
Au2 Au 0.000 0.500 0.000 1
```

[5]
# Ta2Ti3Nb6
Theoretical PXRD pattern, Cu Kα (λ = 1.5418 Å). Input: a structure optimized by DFT (GGA-PBE).

Largest 12 diffraction maxima, low angle first, 5 to 70 degrees two-theta:
| 2θ/deg | I (rel.) |
| --- | --- |
| 14.2 | 64 |
| 28.6 | 63 |
| 31.5 | 42 |
| 32.7 | 69 |
| 37.2 | 92 |
| 39.7 | 43 |
| 40.0 | 57 |
| 40.2 | 55 |
| 40.4 | 45 |
| 41.0 | 100 |
| 63.5 | 32 |
| 65.7 | 30 |

```
data_Ta2Ti3Nb6
_chemical_formula_sum 'Ta4 Ti6 Nb12'
_cell_length_a 5.251
_cell_length_b 8.610
_cell_length_c 9.024
_cell_angle_alpha 90.00
_cell_angle_beta 90.00
_cell_angle_gamma 90.00
_space_group_name_H-M_alt 'I m m m'
_space_group_IT_number 71
_space_group_name_Hall '-I 2 2'
loop_
_atom_site_label
_atom_site_type_symbol
_atom_site_fract_x
_atom_site_fract_y
_atom_site_fract_z
_atom_site_occupancy
Ta1 Ta 0.248 0.000 0.000 1
Ti1 Ti 0.000 0.000 0.500 1
Ti2 Ti 0.000 0.500 0.224 1
Nb1 Nb 0.000 0.184 0.287 1
Nb2 Nb 0.000 0.301 0.000 1
```

[6]
# Ba4NaCd2In
Theoretical PXRD pattern, Cu Kα (λ = 1.5418 Å). Input: a structure optimized by DFT (GGA-PBE).

Largest 12 diffraction maxima, low angle first, 5 to 70 degrees two-theta:
| 2θ/deg | I (rel.) |
| --- | --- |
| 8.8 | 4 |
| 17.0 | 3 |
| 17.7 | 2 |
| 20.5 | 3 |
| 26.7 | 2 |
| 29.1 | 100 |
| 39.9 | 4 |
| 41.6 | 18 |
| 51.6 | 37 |
| 54.6 | 2 |
| 60.3 | 11 |
| 68.4 | 15 |

```
data_Ba4NaCd2In
_chemical_formula_sum 'Ba12 Na3 Cd6 In3'
_cell_length_a 6.1327
_cell_length_b 6.1327
_cell_length_c 30.1043
_cell_angle_alpha 90.00
_cell_angle_beta 90.00
_cell_angle_gamma 120.00
_space_group_name_H-M_alt 'R -3 m'
_space_group_IT_number 166
_space_group_name_Hall '-R 3 2"'
loop_
_atom_site_label
_atom_site_type_symbol
_atom_site_fract_x
_atom_site_fract_y
_atom_site_fract_z
_atom_site_occupancy
Ba1 Ba 0.0000 0.0000 0.1192 1
Ba2 Ba 0.0000 0.0000 0.3694 1
Na1 Na 0.0000 0.0000 0.5000 1
Cd1 Cd 0.0000 0.0000 0.2460 1
In1 In 0.0000 0.0000 0.0000 1
```

[7]
# Sr4Pb5Au6
Theoretical PXRD pattern, Cu Kα (λ = 1.5418 Å). Input: a structure optimized by DFT (GGA-PBE).

Largest 12 diffraction maxima, low angle first, 5 to 70 degrees two-theta:
| 2θ/deg | I (rel.) |
| --- | --- |
| 19.3 | 21 |
| 23.0 | 23 |
| 29.2 | 20 |
| 31.3 | 19 |
| 32.0 | 100 |
| 32.8 | 28 |
| 33.7 | 20 |
| 34.2 | 18 |
| 37.6 | 66 |
| 38.4 | 58 |
| 44.9 | 27 |
| 51.3 | 18 |

```
data_Sr4Pb5Au6
_chemical_formula_sum 'Sr16 Pb20 Au24'
_cell_length_a 4.692
_cell_length_b 22.589
_cell_length_c 16.394
_cell_angle_alpha 90.00
_cell_angle_beta 90.00
_cell_angle_gamma 90.00
_space_group_name_H-M_alt 'C m c 21'
_space_group_IT_number 36
_space_group_name_Hall 'C 2c -2'
loop_
_atom_site_label
_atom_site_type_symbol
_atom_site_fract_x
_atom_site_fract_y
_atom_site_fract_z
_atom_site_occupancy
Sr1 Sr 0.000 0.020 0.000 1
Sr2 Sr 0.000 0.048 0.265 1
Sr3 Sr 0.000 0.152 0.788 1
Sr4 Sr 0.000 0.176 0.444 1
Pb1 Pb 0.000 0.167 0.113 1
Pb2 Pb 0.000 0.319 0.106 1
Pb3 Pb 0.000 0.323 0.782 1
Pb4 Pb 0.000 0.350 0.457 1
Pb5 Pb 0.000 0.462 0.163 1
Au1 Au 0.000 0.101 0.610 1
Au2 Au 0.000 0.230 0.955 1
Au3 Au 0.000 0.249 0.257 1
Au4 Au 0.000 0.412 0.622 1
Au5 Au 0.000 0.429 0.905 1
Au6 Au 0.000 0.453 0.347 1
```